[1]
This entry pairs a crystal structure of Li9Mn2Co5O16 with its computed X-ray diffraction stick pattern. Radiation: a wavelength of 1.5418 Å. Structure: DFT lattice parameters and positions (GGA+U).

Largest 6 diffraction maxima, sorted by position, 10 to 90 degrees two-theta:
| index | 2θ/deg | I/Imax |
| --- | --- | --- |
| 0 1 -1 | 18.50 | 100 |
| 2 1 2 | 34.74 | 17 |
| 0 2 2 | 36.72 | 24 |
| 2 0 3 | 41.85 | 31 |
| 0 3 1 | 44.70 | 51 |
| 2 3 4 | 62.76 | 15 |

Cell and atoms:
```
data_Li9Mn2Co5O16
_symmetry_space_group_name_H-M 'P 1'
_symmetry_Int_Tables_number 1
_symmetry_space_group_name_Hall 'P 1'
_cell_length_a 5.939
_cell_length_b 6.450
_cell_length_c 7.869
_cell_angle_alpha 85.59
_cell_angle_beta 75.44
_cell_angle_gamma 76.76
loop_
_atom_site_label
_atom_site_fract_x
_atom_site_fract_y
_atom_site_fract_z
Li1 0.000 0.000 0.000
Li2 0.059 0.123 0.632
Li3 0.126 0.250 0.252
Li4 0.242 0.480 0.513
Li5 0.377 0.745 0.763
Li6 0.487 0.002 0.993
Li7 0.630 0.251 0.259
Li8 0.758 0.479 0.516
Li9 0.878 0.747 0.755
Mn1 0.443 0.868 0.385
Mn2 0.946 0.867 0.385
Co1 0.179 0.371 0.872
Co2 0.316 0.619 0.130
Co3 0.562 0.120 0.632
Co4 0.684 0.373 0.878
Co5 0.820 0.618 0.129
O1 0.048 0.569 0.313
O2 0.085 0.668 0.948
O3 0.151 0.812 0.544
O4 0.211 0.919 0.197
O5 0.293 0.076 0.809
O6 0.374 0.159 0.459
O7 0.415 0.326 0.061
O8 0.451 0.415 0.694
O9 0.552 0.571 0.310
O10 0.584 0.668 0.954
O11 0.675 0.821 0.569
O12 0.741 0.910 0.212
O13 0.746 0.085 0.801
O14 0.833 0.160 0.449
O15 0.918 0.324 0.062
O16 0.947 0.428 0.709
```

---

[2]
This entry pairs a crystal structure of Li9Mn2Co5O16 with its computed X-ray diffraction stick pattern. Radiation: a wavelength of 1.5418 Å. Structure: DFT lattice parameters and positions (GGA+U).

Largest 6 diffraction maxima, sorted by position, 10 to 90 degrees two-theta:
| index | 2θ/deg | I/Imax |
| --- | --- | --- |
| 1 0 0 | 18.49 | 100 |
| -1 2 1 | 35.62 | 14 |
| 0 2 -3 | 36.75 | 12 |
| -2 2 1 | 42.90 | 28 |
| 1 0 4 | 44.44 | 26 |
| 1 2 -3 | 44.56 | 25 |

Cell and atoms:
```
data_Li9Mn2Co5O16
_symmetry_space_group_name_H-M 'P 1'
_symmetry_Int_Tables_number 1
_symmetry_space_group_name_Hall 'P 1'
_cell_length_a 5.140
_cell_length_b 5.830
_cell_length_c 10.337
_cell_angle_alpha 104.81
_cell_angle_beta 95.18
_cell_angle_gamma 108.16
loop_
_atom_site_label
_atom_site_fract_x
_atom_site_fract_y
_atom_site_fract_z
Li1 0.000 0.000 0.000
Li2 0.000 0.244 0.513
Li3 0.003 0.495 0.001
Li4 0.006 0.616 0.750
Li5 0.007 0.379 0.249
Li6 0.007 0.869 0.251
Li7 0.008 0.131 0.752
Li8 0.011 0.769 0.510
Li9 0.507 0.186 0.630
Mn1 0.501 0.315 0.380
Mn2 0.513 0.691 0.630
Co1 0.497 0.438 0.126
Co2 0.502 0.820 0.379
Co3 0.506 0.938 0.128
Co4 0.507 0.058 0.877
Co5 0.508 0.553 0.879
O1 0.262 0.285 0.951
O2 0.272 0.183 0.197
O3 0.279 0.425 0.694
O4 0.280 0.035 0.432
O5 0.280 0.688 0.196
O6 0.286 0.539 0.442
O7 0.292 0.894 0.694
O8 0.303 0.782 0.941
O9 0.714 0.593 0.312
O10 0.717 0.100 0.318
O11 0.720 0.337 0.826
O12 0.728 0.194 0.064
O13 0.729 0.473 0.556
O14 0.735 0.697 0.062
O15 0.735 0.948 0.558
O16 0.755 0.829 0.802
```